[1]
This entry pairs a crystal structure of PmTl2GaBr6 with its simulated PXRD pattern. Radiation: a wavelength of 1.5418 Å. Structure: DFT lattice parameters and positions (PBE).
Kinematic intensities with the Lorentz-polarization factor, no thermal factor.

Cell and atoms:
Cell lengths 8.3182, 8.3182, 8.3182 Å; angles 58.16, 58.16, 58.16 degrees
Sites, in units of the cell vectors:
Pm: 0.0000 0.0000 0.0000
Tl: 0.2977 0.2977 0.2977
Tl: 0.7909 0.7909 0.7909
Ga: 0.5068 0.5068 0.5068
Br: 0.1388 0.3371 0.7471
Br: 0.2151 0.8675 0.6549
Br: 0.3371 0.7471 0.1388
Br: 0.6549 0.2151 0.8675
Br: 0.7471 0.1388 0.3371
Br: 0.8675 0.6549 0.2151

Most intense lines, 2θ from 10° to 90°, sorted by position:
- 2θ 21.4, 4.156 Å, I 79.7
- 2θ 22.0, 4.043 Å, I 55.8
- 2θ 25.6, 3.486 Å, I 63.5
- 2θ 30.9, 2.898 Å, I 78.5
- 2θ 34.2, 2.621 Å, I 100.0
- 2θ 38.6, 2.334 Å, I 63.4

***

[2]
This entry pairs a crystal structure of PrGa2Br8 with its simulated PXRD pattern. Radiation: a wavelength of 1.5418 Å. Structure: DFT lattice parameters and positions (PBE).
Kinematic intensities with the Lorentz-polarization factor, no thermal factor.

Cell and atoms:
Cell lengths 8.3688, 8.3688, 6.9829 Å; angles 97.91, 97.91, 68.38 degrees
Sites, in units of the cell vectors:
Pr: 0.0000 0.0000 0.0000
Ga: 0.1950 0.1950 0.6549
Ga: 0.8050 0.8050 0.3451
Br: 0.0990 0.7022 0.2316
Br: 0.1815 0.1815 0.2914
Br: 0.2978 0.9010 0.7684
Br: 0.3616 0.3616 0.7910
Br: 0.6384 0.6384 0.2090
Br: 0.7022 0.0990 0.2316
Br: 0.8185 0.8185 0.7086
Br: 0.9010 0.2978 0.7684

Most intense lines, 2θ from 10° to 90°, sorted by position:
- 2θ 11.4, 7.745 Å, I 80.0
- 2θ 25.3, 3.520 Å, I 100.0
- 2θ 25.9, 3.443 Å, I 29.0
- 2θ 26.9, 3.309 Å, I 43.9
- 2θ 33.1, 2.703 Å, I 32.9
- 2θ 43.9, 2.060 Å, I 47.5

***

[3]
This entry pairs a crystal structure of PrGa3Br6 with its simulated PXRD pattern. Radiation: a wavelength of 1.5418 Å. Structure: DFT lattice parameters and positions (PBE).
Kinematic intensities with the Lorentz-polarization factor, no thermal factor.

Cell and atoms:
Cell lengths 7.5640, 8.4564, 13.2132 Å; angles 90.00, 122.66, 90.00 degrees
Sites, in units of the cell vectors:
Pr: 0.0000 0.0000 0.0000
Pr: 0.0000 0.5000 0.5000
Ga: 0.3124 0.0944 0.7985
Ga: 0.3124 0.4056 0.2985
Ga: 0.5000 0.0000 0.5000
Ga: 0.5000 0.5000 0.0000
Ga: 0.6876 0.5944 0.7015
Ga: 0.6876 0.9056 0.2015
Br: 0.0938 0.0694 0.2416
Br: 0.0938 0.4306 0.7416
Br: 0.2670 0.7177 0.0911
Br: 0.2670 0.7823 0.5911
Br: 0.3723 0.1708 0.0436
Br: 0.3723 0.3292 0.5436
Br: 0.6277 0.6708 0.4564
Br: 0.6277 0.8292 0.9564
Br: 0.7330 0.2177 0.4089
Br: 0.7330 0.2823 0.9089
Br: 0.9062 0.5694 0.2584
Br: 0.9062 0.9306 0.7584

Most intense lines, 2θ from 10° to 90°, sorted by position:
- 2θ 13.2, 6.732 Å, I 100.0
- 2θ 25.8, 3.450 Å, I 74.4
- 2θ 27.2, 3.279 Å, I 81.1
- 2θ 29.2, 3.056 Å, I 81.1
- 2θ 33.9, 2.641 Å, I 87.0
- 2θ 40.2, 2.245 Å, I 83.3

***

[4]
This entry pairs a crystal structure of PrTl2GaBr6 with its simulated PXRD pattern. Radiation: a wavelength of 1.5418 Å. Structure: DFT lattice parameters and positions (PBE).
Kinematic intensities with the Lorentz-polarization factor, no thermal factor.

Cell and atoms:
Cell lengths 8.3630, 8.3630, 8.3630 Å; angles 58.11, 58.11, 58.11 degrees
Sites, in units of the cell vectors:
Pr: 0.0000 0.0000 0.0000
Tl: 0.2971 0.2971 0.2971
Tl: 0.7910 0.7910 0.7910
Ga: 0.5065 0.5065 0.5065
Br: 0.1380 0.3416 0.7422
Br: 0.2140 0.8690 0.6501
Br: 0.3416 0.7422 0.1380
Br: 0.6501 0.2140 0.8690
Br: 0.7422 0.1380 0.3416
Br: 0.8690 0.6501 0.2140

Most intense lines, 2θ from 10° to 90°, sorted by position:
- 2θ 21.3, 4.178 Å, I 78.4
- 2θ 21.9, 4.062 Å, I 53.5
- 2θ 25.4, 3.503 Å, I 65.2
- 2θ 30.7, 2.912 Å, I 75.9
- 2θ 34.0, 2.635 Å, I 100.0
- 2θ 38.4, 2.345 Å, I 65.0

***

[5]
This entry pairs a crystal structure of Pu2GaBr6 with its simulated PXRD pattern. Radiation: a wavelength of 1.5418 Å. Structure: DFT lattice parameters and positions (PBE).
Kinematic intensities with the Lorentz-polarization factor, no thermal factor.

Cell and atoms:
Cell lengths 8.1519, 8.1519, 8.1519 Å; angles 55.85, 55.85, 55.85 degrees
Sites, in units of the cell vectors:
Pu: 0.0000 0.0000 0.0000
Pu: 0.1885 0.1885 0.1885
Ga: 0.4994 0.4994 0.4994
Br: 0.0925 0.8042 0.3871
Br: 0.2599 0.5931 0.9295
Br: 0.3871 0.0925 0.8042
Br: 0.5931 0.9295 0.2599
Br: 0.8042 0.3871 0.0925
Br: 0.9295 0.2599 0.5931

Most intense lines, 2θ from 10° to 90°, sorted by position:
- 2θ 14.1, 6.295 Å, I 100.0
- 2θ 15.9, 5.562 Å, I 35.7
- 2θ 21.9, 4.060 Å, I 33.5
- 2θ 26.7, 3.336 Å, I 62.2
- 2θ 35.2, 2.551 Å, I 88.7
- 2θ 40.9, 2.204 Å, I 52.6

***

[6]
This entry pairs a crystal structure of Rb6GaBr8 with its simulated PXRD pattern. Radiation: a wavelength of 1.5418 Å. Structure: DFT lattice parameters and positions (PBE).
Kinematic intensities with the Lorentz-polarization factor, no thermal factor.

Cell and atoms:
Cell lengths 9.5363, 9.5363, 8.4534 Å; angles 90.00, 90.00, 120.00 degrees
Sites, in units of the cell vectors:
Rb: 0.0000 0.3898 0.2291
Rb: 0.0000 0.6102 0.7709
Rb: 0.3898 0.0000 0.2291
Rb: 0.3898 0.3898 0.7709
Rb: 0.6102 0.0000 0.7709
Rb: 0.6102 0.6102 0.2291
Ga: 0.0000 0.0000 0.5000
Br: 0.0000 0.2554 0.6759
Br: 0.0000 0.7446 0.3241
Br: 0.2554 0.0000 0.6759
Br: 0.2554 0.2554 0.3241
Br: 0.3333 0.6667 0.0000
Br: 0.6667 0.3333 0.0000
Br: 0.7446 0.0000 0.3241
Br: 0.7446 0.7446 0.6759

Most intense lines, 2θ from 10° to 90°, sorted by position:
- 2θ 15.0, 5.907 Å, I 55.2
- 2θ 21.0, 4.227 Å, I 23.4
- 2θ 28.2, 3.163 Å, I 100.0
- 2θ 30.5, 2.928 Å, I 87.8
- 2θ 32.5, 2.753 Å, I 44.5
- 2θ 40.8, 2.211 Å, I 28.8

***

[7]
This entry pairs a crystal structure of Rb2TaGaBr6 with its simulated PXRD pattern. Radiation: a wavelength of 1.5418 Å. Structure: DFT lattice parameters and positions (PBE).
Kinematic intensities with the Lorentz-polarization factor, no thermal factor.

Cell and atoms:
Cell lengths 7.9656, 7.9656, 7.9656 Å; angles 60.00, 60.00, 60.00 degrees
Sites, in units of the cell vectors:
Rb: 0.2500 0.2500 0.2500
Rb: 0.7500 0.7500 0.7500
Ta: 0.0000 0.0000 0.0000
Ga: 0.5000 0.5000 0.5000
Br: 0.2339 0.2339 0.7661
Br: 0.2339 0.7661 0.2339
Br: 0.2339 0.7661 0.7661
Br: 0.7661 0.2339 0.2339
Br: 0.7661 0.2339 0.7661
Br: 0.7661 0.7661 0.2339

Most intense lines, 2θ from 10° to 90°, sorted by position:
- 2θ 13.6, 6.504 Å, I 28.8
- 2θ 15.7, 5.633 Å, I 40.6
- 2θ 22.3, 3.983 Å, I 42.0
- 2θ 27.4, 3.252 Å, I 39.9
- 2θ 31.8, 2.816 Å, I 100.0
- 2θ 45.6, 1.991 Å, I 70.1

***

[8]
This entry pairs a crystal structure of RbUGa2Br8 with its simulated PXRD pattern. Radiation: a wavelength of 1.5418 Å. Structure: DFT lattice parameters and positions (PBE).
Kinematic intensities with the Lorentz-polarization factor, no thermal factor.

Cell and atoms:
Cell lengths 7.2484, 7.3761, 9.7055 Å; angles 90.11, 90.31, 90.68 degrees
Sites, in units of the cell vectors:
Rb: 0.0000 0.0000 0.0000
U: 0.0000 0.0000 0.5000
Ga: 0.5004 0.5001 0.2100
Ga: 0.4996 0.4999 0.7900
Br: 0.2036 0.7005 0.4987
Br: 0.2232 0.1461 0.3038
Br: 0.2252 0.1435 0.6983
Br: 0.2750 0.6259 0.9996
Br: 0.7250 0.3741 0.0004
Br: 0.7748 0.8565 0.3017
Br: 0.7768 0.8539 0.6962
Br: 0.7964 0.2995 0.5013

Most intense lines, 2θ from 10° to 90°, sorted by position:
- 2θ 15.1, 5.872 Å, I 95.9
- 2θ 15.3, 5.807 Å, I 69.8
- 2θ 17.0, 5.201 Å, I 92.4
- 2θ 17.3, 5.139 Å, I 97.0
- 2θ 33.1, 2.703 Å, I 100.0
- 2θ 41.2, 2.193 Å, I 72.7

***

[9]
This entry pairs a crystal structure of Rb2YGaBr6 with its simulated PXRD pattern. Radiation: a wavelength of 1.5418 Å. Structure: DFT lattice parameters and positions (PBE).
Kinematic intensities with the Lorentz-polarization factor, no thermal factor.

Cell and atoms:
Cell lengths 7.9466, 8.3377, 13.8622 Å; angles 90.00, 124.56, 90.00 degrees
Sites, in units of the cell vectors:
Rb: 0.2265 0.0707 0.2495
Rb: 0.2265 0.4293 0.7495
Rb: 0.7735 0.5707 0.2505
Rb: 0.7735 0.9293 0.7505
Y: 0.5000 0.0000 0.0000
Y: 0.5000 0.5000 0.5000
Ga: 0.0000 0.0000 0.5000
Ga: 0.0000 0.5000 0.0000
Br: 0.1658 0.1873 0.9535
Br: 0.1658 0.3127 0.4535
Br: 0.2681 0.7172 0.9510
Br: 0.2681 0.7828 0.4510
Br: 0.3576 0.0238 0.7627
Br: 0.3576 0.4762 0.2627
Br: 0.6424 0.5238 0.7373
Br: 0.6424 0.9762 0.2373
Br: 0.7319 0.2172 0.5490
Br: 0.7319 0.2828 0.0490
Br: 0.8342 0.6873 0.5465
Br: 0.8342 0.8127 0.0465

Most intense lines, 2θ from 10° to 90°, sorted by position:
- 2θ 26.0, 3.422 Å, I 77.9
- 2θ 26.5, 3.367 Å, I 55.6
- 2θ 31.1, 2.876 Å, I 100.0
- 2θ 31.3, 2.854 Å, I 65.3
- 2θ 34.2, 2.622 Å, I 36.2
- 2θ 38.9, 2.313 Å, I 52.5

***

[10]
This entry pairs a crystal structure of GaS2Br with its simulated PXRD pattern. Radiation: a wavelength of 1.5418 Å. Structure: DFT lattice parameters and positions (PBE).
Kinematic intensities with the Lorentz-polarization factor, no thermal factor.

Cell and atoms:
Cell lengths 4.7888, 6.1398, 8.0445 Å; angles 90.00, 94.21, 90.00 degrees
Sites, in units of the cell vectors:
Ga: 0.1033 0.0000 0.3642
Ga: 0.8967 0.5000 0.6358
S: 0.2755 0.6869 0.5179
S: 0.4385 0.2281 0.2775
S: 0.5615 0.7281 0.7225
S: 0.7245 0.1869 0.4821
Br: 0.1234 0.2667 0.8332
Br: 0.8766 0.7667 0.1668

Most intense lines, 2θ from 10° to 90°, sorted by position:
- 2θ 11.0, 8.023 Å, I 36.2
- 2θ 18.2, 4.876 Å, I 55.3
- 2θ 25.5, 3.491 Å, I 100.0
- 2θ 26.5, 3.358 Å, I 48.9
- 2θ 33.6, 2.671 Å, I 34.9
- 2θ 37.0, 2.430 Å, I 34.8

***

[11]
This entry pairs a crystal structure of ScGa2Br5 with its simulated PXRD pattern. Radiation: a wavelength of 1.5418 Å. Structure: DFT lattice parameters and positions (PBE).
Kinematic intensities with the Lorentz-polarization factor, no thermal factor.

Cell and atoms:
Cell lengths 8.7569, 8.7569, 10.3331 Å; angles 113.60, 113.60, 50.99 degrees
Sites, in units of the cell vectors:
Sc: 0.9999 0.0001 0.0000
Sc: 0.0001 0.9999 0.5000
Ga: 0.3512 0.4029 0.7656
Ga: 0.4029 0.3512 0.2656
Ga: 0.5979 0.6481 0.7338
Ga: 0.6481 0.5979 0.2338
Br: 0.0316 0.3080 0.1483
Br: 0.1362 0.8637 0.2496
Br: 0.2265 0.6242 0.5317
Br: 0.3080 0.0316 0.6483
Br: 0.3752 0.7740 0.9676
Br: 0.6242 0.2265 0.0317
Br: 0.6926 0.9676 0.3508
Br: 0.7740 0.3752 0.4676
Br: 0.8637 0.1362 0.7496
Br: 0.9676 0.6926 0.8508

Most intense lines, 2θ from 10° to 90°, sorted by position:
- 2θ 12.5, 7.084 Å, I 59.1
- 2θ 26.5, 3.362 Å, I 100.0
- 2θ 27.4, 3.255 Å, I 96.8
- 2θ 29.2, 3.056 Å, I 97.7
- 2θ 33.8, 2.650 Å, I 94.7
- 2θ 42.8, 2.115 Å, I 64.8

***

[12]
This entry pairs a crystal structure of ScTlGa2Br6 with its simulated PXRD pattern. Radiation: a wavelength of 1.5418 Å. Structure: DFT lattice parameters and positions (PBE).
Kinematic intensities with the Lorentz-polarization factor, no thermal factor.

Cell and atoms:
Cell lengths 7.6924, 7.7004, 8.1730 Å; angles 61.95, 61.95, 60.07 degrees
Sites, in units of the cell vectors:
Sc: 0.0000 0.0000 0.0000
Tl: 0.4903 0.4901 0.5299
Ga: 0.1912 0.1905 0.4268
Ga: 0.6815 0.6812 0.9563
Br: 0.0700 0.3646 0.7533
Br: 0.2282 0.9150 0.2079
Br: 0.3648 0.8124 0.7529
Br: 0.6494 0.2269 0.2083
Br: 0.8117 0.0695 0.7533
Br: 0.9156 0.6490 0.2080

Most intense lines, 2θ from 10° to 90°, sorted by position:
- 2θ 15.8, 5.596 Å, I 47.9
- 2θ 21.8, 4.074 Å, I 32.6
- 2θ 26.5, 3.357 Å, I 100.0
- 2θ 35.0, 2.561 Å, I 83.4
- 2θ 39.8, 2.263 Å, I 29.4
- 2θ 40.6, 2.223 Å, I 48.7